1.
Calculated X-ray powder pattern of LiAlSiH2O5 for Cu Kα X-rays, from a cell relaxed with GGA-PBE.

Main lines, by intensity (2θ from 15° to 90°):
- (0 1 1), d 4.236, I 100
- (3 1 0), d 3.592, I 31
- (1 2 1), d 3.166, I 28
- (2 2 1), d 2.870, I 26
- (2 1 0), d 4.923, I 21
- (0 2 0), d 4.514, I 17
- (0 3 1), d 2.549, I 15
- (3 3 0), d 2.386, I 14
- (3 2 0), d 2.958, I 14
- (3 4 1), d 1.811, I 12

```
LiAlSiH2O5
1.0
11.744 0.000 0.000
0.000 9.028 0.000
0.000 0.000 4.797
Li Al Si H O
4 4 4 8 20
Direct
0.190 0.087 0.000 Li
0.310 0.587 0.500 Li
0.690 0.413 0.000 Li
0.810 0.913 0.500 Li
0.141 0.544 0.976 Al
0.359 0.044 0.476 Al
0.641 0.956 0.976 Al
0.859 0.456 0.476 Al
0.114 0.381 0.388 Si
0.386 0.881 0.888 Si
0.614 0.119 0.388 Si
0.886 0.619 0.888 Si
0.010 0.989 0.830 H
0.052 0.854 0.005 H
0.448 0.354 0.505 H
0.490 0.489 0.330 H
0.510 0.511 0.830 H
0.552 0.646 0.005 H
0.948 0.146 0.505 H
0.990 0.011 0.330 H
0.019 0.661 0.971 O
0.052 0.964 0.004 O
0.174 0.474 0.644 O
0.192 0.226 0.333 O
0.231 0.134 0.593 O
0.269 0.634 0.093 O
0.308 0.726 0.833 O
0.326 0.974 0.144 O
0.448 0.464 0.504 O
0.481 0.161 0.471 O
0.519 0.839 0.971 O
0.552 0.536 0.004 O
0.674 0.026 0.644 O
0.692 0.274 0.333 O
0.731 0.366 0.593 O
0.769 0.866 0.093 O
0.808 0.774 0.833 O
0.826 0.526 0.144 O
0.948 0.036 0.504 O
0.981 0.339 0.471 O
```

2.
Calculated X-ray powder pattern of LiAlSiH2O5 for Cu Kα X-rays, from a cell relaxed with GGA-PBE.

Main lines, by intensity (2θ from 15° to 90°):
- (3 1 0), d 3.552, I 100
- (0 1 1), d 4.361, I 44
- (2 3 1), d 2.093, I 10
- (0 0 2), d 2.712, I 10
- (0 4 2), d 1.519, I 8
- (6 0 0), d 2.034, I 8
- (7 1 2), d 1.439, I 7
- (1 2 1), d 2.948, I 7
- (5 2 1), d 1.903, I 7
- (2 0 2), d 2.479, I 7

```
LiAlSiH2O5
1.0
12.205 0.000 0.000
0.000 7.332 0.000
0.000 0.000 5.425
Li Al Si H O
4 4 4 8 20
Direct
0.085 0.015 0.000 Li
0.415 0.515 0.500 Li
0.585 0.485 0.000 Li
0.915 0.985 0.500 Li
0.193 0.619 0.748 Al
0.307 0.119 0.248 Al
0.693 0.881 0.748 Al
0.807 0.381 0.248 Al
0.193 0.401 0.246 Si
0.307 0.901 0.746 Si
0.693 0.099 0.246 Si
0.807 0.599 0.746 Si
0.031 0.730 0.264 H
0.093 0.866 0.439 H
0.407 0.366 0.939 H
0.469 0.230 0.764 H
0.531 0.770 0.264 H
0.593 0.634 0.439 H
0.907 0.134 0.939 H
0.969 0.270 0.764 H
0.037 0.860 0.305 O
0.149 0.524 0.020 O
0.150 0.491 0.500 O
0.163 0.180 0.218 O
0.169 0.867 0.746 O
0.331 0.367 0.246 O
0.337 0.680 0.718 O
0.350 0.991 0.000 O
0.351 0.024 0.520 O
0.463 0.360 0.805 O
0.537 0.640 0.305 O
0.649 0.976 0.020 O
0.650 0.009 0.500 O
0.663 0.320 0.218 O
0.669 0.633 0.746 O
0.831 0.133 0.246 O
0.837 0.820 0.718 O
0.850 0.509 0.000 O
0.851 0.476 0.520 O
0.963 0.140 0.805 O
```

Please write out number 1 again, unchanged.
Calculated X-ray powder pattern of LiAlSiH2O5 for Cu Kα X-rays, from a cell relaxed with GGA-PBE.

Main lines, by intensity (2θ from 15° to 90°):
- (0 1 1), d 4.236, I 100
- (3 1 0), d 3.592, I 31
- (1 2 1), d 3.166, I 28
- (2 2 1), d 2.870, I 26
- (2 1 0), d 4.923, I 21
- (0 2 0), d 4.514, I 17
- (0 3 1), d 2.549, I 15
- (3 3 0), d 2.386, I 14
- (3 2 0), d 2.958, I 14
- (3 4 1), d 1.811, I 12

```
LiAlSiH2O5
1.0
11.744 0.000 0.000
0.000 9.028 0.000
0.000 0.000 4.797
Li Al Si H O
4 4 4 8 20
Direct
0.190 0.087 0.000 Li
0.310 0.587 0.500 Li
0.690 0.413 0.000 Li
0.810 0.913 0.500 Li
0.141 0.544 0.976 Al
0.359 0.044 0.476 Al
0.641 0.956 0.976 Al
0.859 0.456 0.476 Al
0.114 0.381 0.388 Si
0.386 0.881 0.888 Si
0.614 0.119 0.388 Si
0.886 0.619 0.888 Si
0.010 0.989 0.830 H
0.052 0.854 0.005 H
0.448 0.354 0.505 H
0.490 0.489 0.330 H
0.510 0.511 0.830 H
0.552 0.646 0.005 H
0.948 0.146 0.505 H
0.990 0.011 0.330 H
0.019 0.661 0.971 O
0.052 0.964 0.004 O
0.174 0.474 0.644 O
0.192 0.226 0.333 O
0.231 0.134 0.593 O
0.269 0.634 0.093 O
0.308 0.726 0.833 O
0.326 0.974 0.144 O
0.448 0.464 0.504 O
0.481 0.161 0.471 O
0.519 0.839 0.971 O
0.552 0.536 0.004 O
0.674 0.026 0.644 O
0.692 0.274 0.333 O
0.731 0.366 0.593 O
0.769 0.866 0.093 O
0.808 0.774 0.833 O
0.826 0.526 0.144 O
0.948 0.036 0.504 O
0.981 0.339 0.471 O
```

Please write out number 1 again, unchanged.
Calculated X-ray powder pattern of LiAlSiH2O5 for Cu Kα X-rays, from a cell relaxed with GGA-PBE.

Main lines, by intensity (2θ from 15° to 90°):
- (0 1 1), d 4.236, I 100
- (3 1 0), d 3.592, I 31
- (1 2 1), d 3.166, I 28
- (2 2 1), d 2.870, I 26
- (2 1 0), d 4.923, I 21
- (0 2 0), d 4.514, I 17
- (0 3 1), d 2.549, I 15
- (3 3 0), d 2.386, I 14
- (3 2 0), d 2.958, I 14
- (3 4 1), d 1.811, I 12

```
LiAlSiH2O5
1.0
11.744 0.000 0.000
0.000 9.028 0.000
0.000 0.000 4.797
Li Al Si H O
4 4 4 8 20
Direct
0.190 0.087 0.000 Li
0.310 0.587 0.500 Li
0.690 0.413 0.000 Li
0.810 0.913 0.500 Li
0.141 0.544 0.976 Al
0.359 0.044 0.476 Al
0.641 0.956 0.976 Al
0.859 0.456 0.476 Al
0.114 0.381 0.388 Si
0.386 0.881 0.888 Si
0.614 0.119 0.388 Si
0.886 0.619 0.888 Si
0.010 0.989 0.830 H
0.052 0.854 0.005 H
0.448 0.354 0.505 H
0.490 0.489 0.330 H
0.510 0.511 0.830 H
0.552 0.646 0.005 H
0.948 0.146 0.505 H
0.990 0.011 0.330 H
0.019 0.661 0.971 O
0.052 0.964 0.004 O
0.174 0.474 0.644 O
0.192 0.226 0.333 O
0.231 0.134 0.593 O
0.269 0.634 0.093 O
0.308 0.726 0.833 O
0.326 0.974 0.144 O
0.448 0.464 0.504 O
0.481 0.161 0.471 O
0.519 0.839 0.971 O
0.552 0.536 0.004 O
0.674 0.026 0.644 O
0.692 0.274 0.333 O
0.731 0.366 0.593 O
0.769 0.866 0.093 O
0.808 0.774 0.833 O
0.826 0.526 0.144 O
0.948 0.036 0.504 O
0.981 0.339 0.471 O
```